For NaTcO3, a cell relaxed with PBE gives the calculated PXRD pattern in this record (Cu Kα).
No peak broadening, texture or thermal motion is included.

Principal peaks in the range 2θ = 5–70°, by intensity:
Position (°2θ)	Rel. int.
32.80	100
23.03	93
58.55	40
47.10	28
68.75	23
53.00	22
46.99	15
53.07	12

Crystal structure
```
NaTcO3
1.0
5.457 0.000 0.000
0.000 5.457 0.000
0.000 0.000 3.867
Na Tc O
2 2 6
direct
0.000 0.500 0.000
0.500 0.000 0.000
0.000 0.000 0.500
0.500 0.500 0.500
0.000 0.000 0.000
0.220 0.280 0.500
0.280 0.780 0.500
0.500 0.500 0.000
0.720 0.220 0.500
0.780 0.720 0.500
```

For NaTcO3, a cell relaxed with PBE gives the calculated PXRD pattern in this record (Cu Kα).
No peak broadening, texture or thermal motion is included.

Principal peaks in the range 2θ = 5–70°, by intensity:
Position (°2θ)	Rel. int.
32.81	100
23.04	92
47.08	42
53.05	35
58.61	31
68.72	12
68.85	11
58.48	10

Crystal structure
```
NaTcO3
1.0
2.727 1.575 4.465
-2.727 1.575 4.465
0.000 -3.149 4.465
Na Tc O
2 2 6
direct
0.250 0.250 0.250
0.750 0.750 0.750
0.000 0.000 0.000
0.500 0.500 0.500
0.211 0.750 0.289
0.250 0.711 0.789
0.289 0.211 0.750
0.711 0.789 0.250
0.750 0.289 0.211
0.789 0.250 0.711
```

For NaTc2O4, a cell relaxed with PBE gives the calculated PXRD pattern in this record (Cu Kα).
No peak broadening, texture or thermal motion is included.

Principal peaks in the range 2θ = 5–70°, by intensity:
Position (°2θ)	Rel. int.
16.31	100
19.06	93
26.95	28
33.57	28
27.37	27
39.19	26
32.97	25
41.66	21

Crystal structure
```
NaTc2O4
1.0
3.642 -4.761 0.000
3.642 4.761 0.000
-2.413 0.000 5.250
Na Tc O
2 4 8
direct
0.098 0.902 0.500
0.902 0.098 0.000
0.130 0.574 0.836
0.483 0.549 0.143
0.549 0.483 0.643
0.574 0.130 0.336
0.287 0.310 0.776
0.287 0.806 0.188
0.310 0.287 0.276
0.336 0.693 0.660
0.693 0.336 0.160
0.735 0.884 0.257
0.806 0.287 0.688
0.884 0.735 0.757
```